Entry 1:
For MoH4O5, a crystal structure in the Materials Project, relaxed with PBE+U gives the theoretical powder X-ray diffraction pattern in this record (Cu Kα (weighted mean of Kα1 and Kα2)).
Intensities are scaled so that the largest is 100.

Main lines, in order of rising 2θ (2θ from 10° to 80°):
12.92 deg, intensity 100.0; 22.24 deg, intensity 29.8; 22.66 deg, intensity 33.4; 25.00 deg, intensity 10.1; 25.81 deg, intensity 31.5; 25.97 deg, intensity 47.0; 26.41 deg, intensity 19.1; 31.96 deg, intensity 18.3; 39.46 deg, intensity 10.0; 45.76 deg, intensity 9.4

Crystal structure
a = 6.8519 Å, b = 3.9970 Å, c = 7.8508 Å
α = 90.00°, β = 91.20°, γ = 90.00°
Fractional coordinates of all 20 atoms:
Mo (0.0000, 0.0848, 0.0000)
Mo (0.0000, 0.9152, 0.5000)
H (0.3375, 0.1055, 0.1532)
H (0.3375, 0.8945, 0.6532)
H (0.4614, 0.4085, 0.8525)
H (0.4614, 0.5915, 0.3525)
H (0.5906, 0.4343, 0.2113)
H (0.5906, 0.5657, 0.7113)
H (0.6536, 0.1434, 0.4659)
H (0.6536, 0.8566, 0.9659)
O (0.0060, 0.0117, 0.7783)
O (0.0060, 0.9883, 0.2783)
O (0.2774, 0.0337, 0.0442)
O (0.2774, 0.9663, 0.5442)
O (0.5104, 0.3786, 0.3080)
O (0.5104, 0.6214, 0.8079)
O (0.7237, 0.0221, 0.0393)
O (0.7237, 0.9779, 0.5393)
O (0.9920, 0.4762, 0.5205)
O (0.9920, 0.5238, 0.0205)


Entry 2:
For Ag6Mo2ClO7F3, a crystal structure in the Materials Project, relaxed with PBE+U gives the theoretical powder X-ray diffraction pattern in this record (Cu Kα (weighted mean of Kα1 and Kα2)).
Intensities are scaled so that the largest is 100.

Main lines, in order of rising 2θ (2θ from 10° to 80°):
27.11 deg, intensity 24.8; 29.68 deg, intensity 23.3; 30.98 deg, intensity 100.0; 40.63 deg, intensity 24.0; 47.90 deg, intensity 26.2; 53.49 deg, intensity 21.6; 57.37 deg, intensity 21.1; 58.14 deg, intensity 16.1; 74.61 deg, intensity 7.0; 78.57 deg, intensity 13.8

Crystal structure
a = 7.5965 Å, b = 7.5965 Å, c = 6.0199 Å
α = 90.00°, β = 90.00°, γ = 120.00°
Fractional coordinates of all 19 atoms:
Ag (0.0099, 0.5049, 0.0000)
Ag (0.3523, 0.1762, 0.4591)
Ag (0.4951, 0.5049, 0.0000)
Ag (0.4951, 0.9901, 0.0000)
Ag (0.8238, 0.1762, 0.4591)
Ag (0.8238, 0.6477, 0.4591)
Mo (0.0000, 0.0000, 0.9553)
Mo (0.3333, 0.6667, 0.5085)
Cl (0.6667, 0.3333, 0.7624)
O (0.0792, 0.5396, 0.3942)
O (0.2464, 0.1232, 0.0877)
O (0.3333, 0.6667, 0.8134)
O (0.4604, 0.5396, 0.3942)
O (0.4604, 0.9208, 0.3942)
O (0.8768, 0.1232, 0.0877)
O (0.8768, 0.7536, 0.0877)
F (0.1154, 0.2308, 0.7098)
F (0.1154, 0.8846, 0.7098)
F (0.7692, 0.8846, 0.7098)


Entry 3:
For LiVF4, a crystal structure in the Materials Project, relaxed with PBE+U gives the theoretical powder X-ray diffraction pattern in this record (Cu Kα (weighted mean of Kα1 and Kα2)).
Intensities are scaled so that the largest is 100.

Main lines, in order of rising 2θ (2θ from 10° to 80°):
14.55 deg, intensity 83.9; 18.85 deg, intensity 100.0; 22.28 deg, intensity 35.5; 24.50 deg, intensity 70.4; 24.77 deg, intensity 36.5; 32.45 deg, intensity 20.5; 37.16 deg, intensity 33.9; 38.05 deg, intensity 30.3; 41.05 deg, intensity 23.3; 47.88 deg, intensity 25.0

Crystal structure
a = 6.1226 Å, b = 5.3962 Å, c = 9.6873 Å
α = 90.00°, β = 96.15°, γ = 90.00°
Fractional coordinates of all 24 atoms:
Li (0.1244, 0.0243, 0.2265)
Li (0.1244, 0.4757, 0.7265)
Li (0.8756, 0.5243, 0.2735)
Li (0.8756, 0.9757, 0.7735)
V (0.3728, 0.5262, 0.1309)
V (0.3728, 0.9738, 0.6309)
V (0.6272, 0.0262, 0.3691)
V (0.6272, 0.4738, 0.8691)
F (0.1131, 0.1290, 0.6956)
F (0.1131, 0.3710, 0.1956)
F (0.2069, 0.6870, 0.5824)
F (0.2069, 0.8130, 0.0824)
F (0.3367, 0.1111, 0.4302)
F (0.3367, 0.3889, 0.9302)
F (0.4763, 0.7046, 0.3109)
F (0.4763, 0.7954, 0.8109)
F (0.5237, 0.2046, 0.1891)
F (0.5237, 0.2954, 0.6891)
F (0.6633, 0.6111, 0.0698)
F (0.6633, 0.8889, 0.5698)
F (0.7931, 0.1870, 0.9176)
F (0.7931, 0.3130, 0.4176)
F (0.8869, 0.6290, 0.8044)
F (0.8869, 0.8710, 0.3044)


Entry 4:
For Li6VNi3P6O24, a crystal structure in the Materials Project, relaxed with PBE+U gives the theoretical powder X-ray diffraction pattern in this record (Cu Kα (weighted mean of Kα1 and Kα2)).
Intensities are scaled so that the largest is 100.

Main lines, in order of rising 2θ (2θ from 10° to 80°):
14.39 deg, intensity 38.5; 20.25 deg, intensity 34.2; 20.50 deg, intensity 61.4; 20.62 deg, intensity 28.5; 23.91 deg, intensity 100.0; 23.98 deg, intensity 25.2; 24.10 deg, intensity 23.6; 28.97 deg, intensity 37.0; 32.62 deg, intensity 33.5; 35.58 deg, intensity 39.4

Crystal structure
a = 8.6159 Å, b = 8.6654 Å, c = 8.6713 Å
α = 60.82°, β = 60.61°, γ = 60.99°
Fractional coordinates of all 40 atoms:
Li (0.0000, 0.0000, 0.0000)
Li (0.1008, 0.4856, 0.9472)
Li (0.2809, 0.8607, 0.6541)
Li (0.5497, 0.6930, 0.2897)
Li (0.7315, 0.3457, 0.1378)
Li (0.8984, 0.1440, 0.4926)
V (0.1035, 0.6923, 0.5012)
Ni (0.3954, 0.9885, 0.7900)
Ni (0.6098, 0.2034, 0.0022)
Ni (0.8974, 0.4896, 0.2948)
P (0.0006, 0.2935, 0.6904)
P (0.2089, 0.0843, 0.1864)
P (0.2978, 0.5905, 0.0977)
P (0.4947, 0.3864, 0.6067)
P (0.7039, 0.8858, 0.3956)
P (0.7986, 0.8044, 0.8940)
O (0.0275, 0.2582, 0.2054)
O (0.0723, 0.4605, 0.6277)
O (0.1427, 0.5304, 0.1255)
O (0.1575, 0.1039, 0.7162)
O (0.1579, 0.9290, 0.3872)
O (0.2174, 0.0374, 0.0330)
O (0.2317, 0.6568, 0.2701)
O (0.3001, 0.7632, 0.9191)
O (0.3416, 0.5868, 0.5515)
O (0.3885, 0.1007, 0.1592)
O (0.4382, 0.2305, 0.6373)
O (0.4853, 0.4351, 0.0979)
O (0.5182, 0.9160, 0.5537)
O (0.5191, 0.3698, 0.7765)
O (0.6322, 0.8512, 0.8454)
O (0.6680, 0.3957, 0.4215)
O (0.7266, 0.7307, 0.3409)
O (0.7344, 0.0614, 0.2257)
O (0.8040, 0.9630, 0.9218)
O (0.8081, 0.6170, 0.0632)
O (0.8453, 0.2928, 0.8817)
O (0.8744, 0.8134, 0.4692)
O (0.9393, 0.3235, 0.5375)
O (0.9955, 0.7466, 0.7344)


Entry 5:
For Ca2Mn2O5, a crystal structure in the Materials Project, relaxed with PBE+U gives the theoretical powder X-ray diffraction pattern in this record (Cu Kα (weighted mean of Kα1 and Kα2)).
Intensities are scaled so that the largest is 100.

Main lines, in order of rising 2θ (2θ from 10° to 80°):
22.65 deg, intensity 25.4; 23.25 deg, intensity 20.1; 31.99 deg, intensity 100.0; 32.24 deg, intensity 85.1; 33.35 deg, intensity 94.3; 46.25 deg, intensity 79.1; 47.52 deg, intensity 26.9; 56.52 deg, intensity 18.2; 57.29 deg, intensity 18.2; 58.16 deg, intensity 17.5

Crystal structure
a = 7.8582 Å, b = 7.8582 Å, c = 7.6658 Å
α = 92.32°, β = 92.32°, γ = 90.05°
Fractional coordinates of all 36 atoms:
Ca (0.0000, 0.0000, 0.0000)
Ca (0.0005, 0.5211, 0.0066)
Ca (0.0034, 0.5289, 0.4531)
Ca (0.5104, 0.5104, 0.0249)
Ca (0.5211, 0.0005, 0.0066)
Ca (0.5257, 0.5257, 0.4939)
Ca (0.5289, 0.0034, 0.4531)
Ca (0.9836, 0.9836, 0.4367)
Mn (0.2326, 0.2326, 0.7498)
Mn (0.2501, 0.2501, 0.2818)
Mn (0.2517, 0.7428, 0.2438)
Mn (0.2520, 0.7639, 0.7589)
Mn (0.7428, 0.2517, 0.2438)
Mn (0.7493, 0.7493, 0.2426)
Mn (0.7532, 0.7532, 0.7456)
Mn (0.7639, 0.2520, 0.7589)
O (0.0213, 0.2681, 0.8433)
O (0.2240, 0.7427, 0.5064)
O (0.2352, 0.4904, 0.2443)
O (0.2434, 0.9983, 0.2678)
O (0.2635, 0.6732, 0.9851)
O (0.2681, 0.0213, 0.8433)
O (0.3216, 0.3216, 0.5554)
O (0.4904, 0.2352, 0.2443)
O (0.5042, 0.7418, 0.7585)
O (0.5069, 0.7519, 0.2419)
O (0.6732, 0.2635, 0.9851)
O (0.7418, 0.5042, 0.7585)
O (0.7427, 0.2240, 0.5064)
O (0.7493, 0.9987, 0.7942)
O (0.7519, 0.5069, 0.2419)
O (0.7525, 0.9905, 0.2143)
O (0.7683, 0.7683, 0.4956)
O (0.9905, 0.7525, 0.2143)
O (0.9983, 0.2434, 0.2678)
O (0.9987, 0.7493, 0.7942)


Entry 6:
For La3Mn8BiO20, a crystal structure in the Materials Project, relaxed with PBE+U gives the theoretical powder X-ray diffraction pattern in this record (Cu Kα (weighted mean of Kα1 and Kα2)).
Intensities are scaled so that the largest is 100.

Main lines, in order of rising 2θ (2θ from 10° to 80°):
15.20 deg, intensity 35.0; 27.91 deg, intensity 70.8; 29.49 deg, intensity 100.0; 32.67 deg, intensity 35.5; 34.43 deg, intensity 26.1; 40.05 deg, intensity 25.3; 45.64 deg, intensity 18.0; 49.59 deg, intensity 19.9; 53.80 deg, intensity 18.3; 57.11 deg, intensity 25.8

Crystal structure
a = 7.7461 Å, b = 5.8302 Å, c = 8.7909 Å
α = 90.00°, β = 90.08°, γ = 90.00°
Fractional coordinates of all 32 atoms:
La (0.0000, 0.0000, 0.0000)
La (0.2092, 0.0000, 0.4973)
La (0.5032, 0.0000, 0.8432)
Mn (0.2651, 0.5000, 0.8195)
Mn (0.3580, 0.2582, 0.1705)
Mn (0.3580, 0.7418, 0.1705)
Mn (0.4511, 0.5000, 0.5220)
Mn (0.7646, 0.5000, 0.0214)
Mn (0.8569, 0.2574, 0.6699)
Mn (0.8569, 0.7426, 0.6699)
Mn (0.9435, 0.5000, 0.3217)
Bi (0.7044, 0.0000, 0.3423)
O (0.0081, 0.5000, 0.7340)
O (0.0108, 0.0000, 0.7221)
O (0.2044, 0.0000, 0.2221)
O (0.2075, 0.5000, 0.2375)
O (0.2603, 0.2498, 0.9660)
O (0.2603, 0.7502, 0.9660)
O (0.3570, 0.2784, 0.6700)
O (0.3570, 0.7216, 0.6700)
O (0.4594, 0.2486, 0.3751)
O (0.4594, 0.7514, 0.3751)
O (0.5081, 0.5000, 0.1051)
O (0.5134, 0.0000, 0.1206)
O (0.7016, 0.0000, 0.6162)
O (0.7064, 0.5000, 0.6077)
O (0.7605, 0.2495, 0.8753)
O (0.7605, 0.7505, 0.8753)
O (0.8552, 0.2784, 0.1716)
O (0.8552, 0.7216, 0.1716)
O (0.9533, 0.2506, 0.4664)
O (0.9533, 0.7494, 0.4664)